Diffraction record for SmTiFe5Co6. The powder XRD pattern is theoretical, not measured: it uses a structure optimized by DFT (PBE) and a wavelength of 1.5418 Å.
Intensities are scaled so that the largest is 100.

Largest 10 diffraction maxima, in order of falling intensity, 5° ≤ 2θ ≤ 70°:
2θ (°)  I (rel.)
43.02  100
44.15  80
43.17  53
30.35  46
42.57  34
49.37  31
37.08  26
37.33  23
38.37  20
62.10  13

Structure:
```
SmTiFe5Co6
1.0
-2.346 4.247 4.211
2.346 -4.247 4.211
2.346 4.247 -4.211
Sm Ti Fe Co
1 1 5 6
direct
0.000 0.000 0.000
0.622 0.622 0.000
0.000 0.001 0.501
0.000 0.499 0.999
0.229 0.729 0.500
0.500 0.001 0.001
0.500 0.499 0.499
0.226 0.500 0.726
0.347 0.347 0.000
0.356 0.997 0.359
0.638 0.997 0.641
0.772 0.272 0.500
0.774 0.500 0.274
```